Starting from a crystal structure in Alexandria, relaxed with GGA-PBE, the XRD peak list of KAcC2N4 was computed for Cu Kα X-rays.
Kinematic intensities with the Lorentz-polarization factor, no thermal factor.

Structural model:
Cell: 5.905 5.905 6.839 Å, 90.00 90.00 90.00°
Fractional positions:
K (0.000, 0.000, 0.000)
K (0.500, 0.500, 0.500)
Ac (0.000, 0.000, 0.500)
Ac (0.500, 0.500, 0.000)
C (0.000, 0.500, 0.250)
C (0.000, 0.500, 0.750)
C (0.500, 0.000, 0.250)
C (0.500, 0.000, 0.750)
N (0.148, 0.352, 0.750)
N (0.148, 0.648, 0.250)
N (0.352, 0.148, 0.250)
N (0.352, 0.852, 0.750)
N (0.648, 0.148, 0.750)
N (0.648, 0.852, 0.250)
N (0.852, 0.352, 0.250)
N (0.852, 0.648, 0.750)

Most intense lines, 15 to 90 degrees two-theta, most intense first:
2θ/deg	I/Imax
19.86	100
33.88	79
21.28	63
36.47	48
30.27	41
40.36	35
56.12	26
48.77	22
43.34	18
53.07	17